# Ce2PmSnN2
Theoretical XRD peak list, λ = 1.5418 Å (Cu Kα). Input: a cell relaxed with PBE.
No peak broadening, texture or thermal motion is included.

Structure:
```
data_Ce2PmSnN2
_cell_length_a 4.5384
_cell_length_b 4.5384
_cell_length_c 6.6943
_cell_angle_alpha 90.00
_cell_angle_beta 90.00
_cell_angle_gamma 90.00
_space_group_name_H-M_alt 'P 1'
_space_group_IT_number 1
loop_
_space_group_symop_operation_xyz
'x,y,z'
loop_
_atom_site_label
_atom_site_type_symbol
_atom_site_fract_x
_atom_site_fract_y
_atom_site_fract_z
Ce1 Ce 0.0000 0.0000 0.2255
Ce2 Ce 0.0000 0.0000 0.7745
Pm1 Pm 0.5000 0.5000 0.0000
Sn1 Sn 0.5000 0.5000 0.5000
N1 N 0.0000 0.5000 0.0000
N2 N 0.5000 0.0000 0.0000
```

Principal peaks in the range 2θ from 5° to 70°, sorted by position:
| Position (°2θ) | d/Å | Rel. int. |
| --- | --- | --- |
| 27.80 | 3.209 | 75 |
| 33.26 | 2.694 | 100 |
| 39.72 | 2.269 | 35 |
| 52.75 | 1.735 | 54 |
| 57.43 | 1.605 | 12 |
| 62.60 | 1.484 | 13 |
| 64.98 | 1.435 | 14 |
| 68.00 | 1.379 | 13 |

---

# CePmTeN2
Theoretical XRD peak list, λ = 1.5418 Å (Cu Kα). Input: a cell relaxed with PBE.
No peak broadening, texture or thermal motion is included.

Structure:
```
data_CePmTeN2
_cell_length_a 7.3502
_cell_length_b 7.3502
_cell_length_c 7.3502
_cell_angle_alpha 148.28
_cell_angle_beta 148.28
_cell_angle_gamma 45.47
_space_group_name_H-M_alt 'P 1'
_space_group_IT_number 1
loop_
_space_group_symop_operation_xyz
'x,y,z'
loop_
_atom_site_label
_atom_site_type_symbol
_atom_site_fract_x
_atom_site_fract_y
_atom_site_fract_z
Ce1 Ce 0.0000 0.0000 0.0000
Pm1 Pm 0.6646 0.6646 0.0000
Te1 Te 0.3318 0.3318 0.0000
N1 N 0.0746 0.5746 0.5000
N2 N 0.5746 0.0746 0.5000
```

Principal peaks in the range 2θ from 5° to 70°, sorted by position:
| Position (°2θ) | d/Å | Rel. int. |
| --- | --- | --- |
| 29.76 | 3.002 | 100 |
| 31.50 | 2.840 | 37 |
| 39.89 | 2.260 | 10 |
| 45.14 | 2.008 | 18 |
| 51.69 | 1.768 | 24 |
| 55.01 | 1.669 | 35 |
| 61.80 | 1.501 | 11 |
| 66.26 | 1.411 | 10 |